# 1
Structure and computed XRD peak list of MnCd2Pt (DFT lattice parameters and positions (PBE); Cu Kα (weighted mean of Kα1 and Kα2)).
Peak positions follow from Bragg's law for the DFT cell and can differ from measured ones.

Principal peaks in the range 2θ from 10° to 80°, low angle first:
d/Å	2θ/deg	Rel. int.
2.571	34.9	9.4
2.422	37.1	100.0
2.345	38.4	6.9
2.332	38.6	29.8
2.169	41.6	6.5
2.077	43.6	63.2
1.491	62.3	21.2
1.448	64.3	19.2
1.270	74.8	12.3
1.256	75.7	23.8
1.230	77.6	11.1
1.211	79.1	10.6

```
MnCd2Pt
1.0
1.491 0.861 9.326
-1.491 0.861 9.326
0.000 -1.721 9.326
Mn Cd Pt
1 2 1
Direct
0.000 0.000 0.000
0.249 0.249 0.249
0.751 0.751 0.751
0.500 0.500 0.500
```

# 2
Structure and computed XRD peak list of Rb2MnCdS4 (DFT lattice parameters and positions (PBE); Cu Kα (weighted mean of Kα1 and Kα2)).
Peak positions follow from Bragg's law for the DFT cell and can differ from measured ones.

Principal peaks in the range 2θ from 10° to 80°, low angle first:
d/Å	2θ/deg	Rel. int.
6.103	14.5	39.3
5.873	15.1	61.3
3.646	24.4	40.6
3.571	24.9	30.6
3.433	26.0	100.0
3.339	26.7	40.8
2.903	30.8	67.8
2.704	33.1	52.6
2.342	38.4	46.8
2.034	44.5	29.8
1.958	46.4	38.8
1.846	49.4	43.1

```
Rb2MnCdS4
1.0
0.000 7.142 11.745
2.922 0.000 11.745
2.922 7.142 0.000
Rb Mn Cd S
4 2 2 8
Direct
0.055 0.055 0.695
0.305 0.305 0.945
0.695 0.695 0.055
0.945 0.945 0.305
0.375 0.375 0.375
0.625 0.625 0.625
0.125 0.125 0.125
0.875 0.875 0.875
0.018 0.630 0.530
0.321 0.530 0.630
0.370 0.982 0.679
0.470 0.679 0.982
0.530 0.321 0.018
0.630 0.018 0.321
0.679 0.470 0.370
0.982 0.370 0.470
```

# 3
Structure and computed XRD peak list of Mn2CdS4 (DFT lattice parameters and positions (PBE); Cu Kα (weighted mean of Kα1 and Kα2)).
Peak positions follow from Bragg's law for the DFT cell and can differ from measured ones.

Principal peaks in the range 2θ from 10° to 80°, low angle first:
d/Å	2θ/deg	Rel. int.
6.135	14.4	85.9
4.516	19.7	43.0
4.383	20.3	41.7
3.108	28.7	24.1
3.069	29.1	88.4
2.789	32.1	30.0
2.258	39.9	54.1
2.242	40.2	47.9
2.209	40.9	100.0
2.192	41.2	24.0
1.773	51.5	32.5
1.772	51.6	54.0

```
Mn2CdS4
1.0
6.138 0.000 0.000
0.000 3.546 0.000
-0.192 0.000 6.458
Mn Cd S
2 1 4
Direct
0.000 0.000 0.000
0.500 0.500 0.000
0.000 0.000 0.500
0.165 0.500 0.226
0.325 0.000 0.807
0.675 0.000 0.193
0.835 0.500 0.774
```

# 4
Structure and computed XRD peak list of MnCdSb2S (DFT lattice parameters and positions (PBE); Cu Kα (weighted mean of Kα1 and Kα2)).
Peak positions follow from Bragg's law for the DFT cell and can differ from measured ones.

Principal peaks in the range 2θ from 10° to 80°, low angle first:
d/Å	2θ/deg	Rel. int.
4.119	21.6	13.6
3.267	27.3	25.9
2.790	32.1	100.0
2.682	33.4	80.2
2.247	40.1	11.0
2.073	43.7	14.4
2.059	44.0	18.3
1.896	48.0	28.0
1.633	56.3	34.0
1.568	58.9	33.9
1.395	67.1	19.7
1.291	73.3	8.8

```
MnCdSb2S
1.0
5.363 0.000 0.000
0.000 5.363 0.000
0.000 0.000 4.119
Mn Cd Sb S
1 1 2 1
Direct
0.000 0.000 0.000
0.500 0.500 0.500
0.000 0.500 0.000
0.500 0.000 0.000
0.000 0.000 0.500
```

# 5
Structure and computed XRD peak list of MnCdSnS4 (DFT lattice parameters and positions (PBE); Cu Kα (weighted mean of Kα1 and Kα2)).
Peak positions follow from Bragg's law for the DFT cell and can differ from measured ones.

Principal peaks in the range 2θ from 10° to 80°, low angle first:
d/Å	2θ/deg	Rel. int.
3.824	23.3	32.9
3.752	23.7	19.0
3.267	27.3	100.0
3.222	27.7	31.1
2.687	33.3	17.9
2.220	40.6	14.1
2.093	43.2	17.8
2.079	43.5	16.2
2.059	44.0	29.5
1.924	47.2	14.7
1.912	47.6	56.1
1.876	48.5	14.7

```
MnCdSnS4
1.0
-3.752 3.849 5.442
3.752 -3.849 5.442
3.752 3.849 -5.442
Mn Cd Sn S
2 2 2 8
Direct
0.500 0.000 0.000
0.500 0.500 0.500
0.106 0.356 0.750
0.894 0.644 0.250
0.000 0.000 0.000
0.500 0.000 0.500
0.262 0.251 0.489
0.262 0.773 0.011
0.269 0.237 0.032
0.295 0.763 0.532
0.705 0.237 0.468
0.731 0.763 0.968
0.738 0.227 0.989
0.738 0.749 0.511
```

# 6
Structure and computed XRD peak list of ScMn2Cd (DFT lattice parameters and positions (PBE); Cu Kα (weighted mean of Kα1 and Kα2)).
Peak positions follow from Bragg's law for the DFT cell and can differ from measured ones.

Principal peaks in the range 2θ from 10° to 80°, low angle first:
d/Å	2θ/deg	Rel. int.
4.161	21.4	14.5
3.919	22.7	2.9
2.853	31.4	11.4
2.353	38.2	100.0
2.085	43.4	17.1
2.077	43.6	16.9
1.960	46.3	14.0
1.471	63.2	10.3
1.428	65.4	9.2
1.425	65.5	9.2
1.249	76.2	11.5
1.246	76.5	12.3

```
ScMn2Cd
1.0
3.919 0.000 0.000
0.000 4.153 0.000
0.000 0.000 4.170
Sc Mn Cd
1 2 1
Direct
0.000 0.000 0.000
0.500 0.000 0.500
0.500 0.500 0.000
0.000 0.500 0.500
```